For Ta2H15N6Cl7, DFT lattice parameters and positions (GGA-PBE) gives the theoretical PXRD pattern in this record (Cu Kα).

Principal peaks in the range 2θ from 10° to 90°, by angle:
- 2θ = 14.32°, rel. 46.1
- 2θ = 15.01°, rel. 100.0
- 2θ = 17.68°, rel. 66.3
- 2θ = 23.75°, rel. 44.2
- 2θ = 24.40°, rel. 42.2
- 2θ = 27.84°, rel. 88.3
- 2θ = 28.87°, rel. 72.4
- 2θ = 35.80°, rel. 51.3
- 2θ = 46.62°, rel. 33.9
- 2θ = 47.59°, rel. 33.6

Structure:
Unit cell a=10.035 b=20.191 c=7.824 alpha=90.00 beta=90.00 gamma=90.00
Space group Cmcm (No. 63)
Symmetry-distinct sites (fractional):
Ta 0.000 0.000 0.000 (multiplicity 4)
Ta 0.000 0.165 0.250 (multiplicity 4)
H 0.000 0.081 0.750 (multiplicity 4)
H 0.000 0.130 0.535 (multiplicity 8)
H 0.000 0.460 0.644 (multiplicity 8)
H 0.085 0.400 0.750 (multiplicity 8)
H 0.154 0.358 0.250 (multiplicity 8)
H 0.191 0.114 0.750 (multiplicity 8)
H 0.221 0.185 0.643 (multiplicity 16)
N 0.000 0.030 0.750 (multiplicity 4)
N 0.000 0.099 0.070 (multiplicity 8)
N 0.000 0.429 0.750 (multiplicity 4)
N 0.243 0.158 0.750 (multiplicity 8)
Cl 0.000 0.252 0.019 (multiplicity 8)
Cl 0.000 0.414 0.250 (multiplicity 4)
Cl 0.242 0.000 0.000 (multiplicity 8)
Cl 0.242 0.177 0.250 (multiplicity 8)